1.
Theoretical X-ray powder pattern
Compound: AgS2F
Radiation: Cu Kα, 1.54184 Å
Structure: a crystal structure in Alexandria, relaxed with PBE

Largest 10 diffraction maxima, sorted by position, 5° ≤ 2θ ≤ 70°:
2θ 7.5, 11.734 Å, intensity 100; 2θ 25.4, 3.513 Å, intensity 33; 2θ 25.8, 3.452 Å, intensity 19; 2θ 28.6, 3.119 Å, intensity 11; 2θ 29.0, 3.076 Å, intensity 25; 2θ 30.5, 2.934 Å, intensity 25; 2θ 34.8, 2.579 Å, intensity 35; 2θ 35.6, 2.519 Å, intensity 31; 2θ 46.9, 1.937 Å, intensity 15; 2θ 52.7, 1.736 Å, intensity 20

Crystal structure
```
data_AgS2F
_chemical_formula_sum 'Ag2 S4 F2'
_symmetry_space_group_name_H-M 'P 1'
_symmetry_Int_Tables_number 1
_cell_length_a 3.6824
_cell_length_b 3.6118
_cell_length_c 11.7342
_cell_angle_alpha 90.00
_cell_angle_beta 90.04
_cell_angle_gamma 90.00
loop_
_symmetry_equiv_pos_as_xyz
'x,y,z'
loop_
_atom_site_label
_atom_site_fract_x
_atom_site_fract_y
_atom_site_fract_z
Ag1 0.2453 0.0000 0.1114
Ag2 0.7547 0.5000 0.8886
S1 0.0489 0.5831 0.3792
S2 0.3414 0.9818 0.3154
S3 0.6586 0.4818 0.6846
S4 0.9511 0.0831 0.6208
F1 0.2408 0.9910 0.9168
F2 0.7592 0.4910 0.0832
```

2.
Theoretical X-ray powder pattern
Compound: AgSF6
Radiation: Cu Kα, 1.54184 Å
Structure: a crystal structure in Alexandria, relaxed with PBE

Largest 10 diffraction maxima, sorted by position, 5° ≤ 2θ ≤ 70°:
2θ 22.8, 3.904 Å, intensity 70; 2θ 24.8, 3.590 Å, intensity 100; 2θ 28.6, 3.125 Å, intensity 71; 2θ 37.9, 2.376 Å, intensity 28; 2θ 39.0, 2.312 Å, intensity 22; 2θ 40.0, 2.252 Å, intensity 26; 2θ 40.7, 2.219 Å, intensity 21; 2θ 43.8, 2.069 Å, intensity 47; 2θ 44.5, 2.034 Å, intensity 25; 2θ 49.0, 1.859 Å, intensity 28

Crystal structure
```
data_AgSF6
_chemical_formula_sum 'Ag1 S1 F6'
_symmetry_space_group_name_H-M 'P 1'
_symmetry_Int_Tables_number 1
_cell_length_a 4.8944
_cell_length_b 4.8944
_cell_length_c 4.8389
_cell_angle_alpha 95.95
_cell_angle_beta 95.95
_cell_angle_gamma 105.83
loop_
_symmetry_equiv_pos_as_xyz
'x,y,z'
loop_
_atom_site_label
_atom_site_fract_x
_atom_site_fract_y
_atom_site_fract_z
Ag1 0.0000 0.0000 0.0000
S1 0.5000 0.5000 0.5000
F1 0.2257 0.5373 0.2613
F2 0.2480 0.2480 0.6433
F3 0.4627 0.7743 0.7387
F4 0.5373 0.2257 0.2613
F5 0.7520 0.7520 0.3567
F6 0.7743 0.4627 0.7387
```

3.
Theoretical X-ray powder pattern
Compound: Ag4SF3
Radiation: Cu Kα, 1.54184 Å
Structure: a crystal structure in Alexandria, relaxed with PBE

Largest 10 diffraction maxima, sorted by position, 5° ≤ 2θ ≤ 70°:
2θ 30.0, 2.979 Å, intensity 67; 2θ 30.3, 2.948 Å, intensity 32; 2θ 31.8, 2.815 Å, intensity 28; 2θ 34.7, 2.582 Å, intensity 100; 2θ 36.7, 2.451 Å, intensity 45; 2θ 48.5, 1.876 Å, intensity 17; 2θ 50.4, 1.809 Å, intensity 32; 2θ 51.4, 1.779 Å, intensity 15; 2θ 52.4, 1.747 Å, intensity 28; 2θ 62.3, 1.490 Å, intensity 15

Crystal structure
```
data_Ag4SF3
_chemical_formula_sum 'Ag8 S2 F6'
_symmetry_space_group_name_H-M 'P 1'
_symmetry_Int_Tables_number 1
_cell_length_a 5.9221
_cell_length_b 7.5047
_cell_length_c 6.2018
_cell_angle_alpha 90.00
_cell_angle_beta 108.06
_cell_angle_gamma 90.00
loop_
_symmetry_equiv_pos_as_xyz
'x,y,z'
loop_
_atom_site_label
_atom_site_fract_x
_atom_site_fract_y
_atom_site_fract_z
Ag1 0.2382 0.1359 0.4870
Ag2 0.2382 0.8641 0.9870
Ag3 0.2581 0.3628 0.9955
Ag4 0.2581 0.6372 0.4955
Ag5 0.7419 0.3628 0.5045
Ag6 0.7419 0.6372 0.0045
Ag7 0.7618 0.1359 0.0130
Ag8 0.7618 0.8641 0.5130
S1 0.0000 0.3774 0.2500
S2 0.0000 0.6226 0.7500
F1 0.0000 0.1199 0.7500
F2 0.0000 0.8801 0.2500
F3 0.5000 0.0642 0.2500
F4 0.5000 0.3683 0.7500
F5 0.5000 0.6317 0.2500
F6 0.5000 0.9358 0.7500
```

4.
Theoretical X-ray powder pattern
Compound: AgSF
Radiation: Cu Kα, 1.54184 Å
Structure: a crystal structure in Alexandria, relaxed with PBE

Largest 10 diffraction maxima, sorted by position, 5° ≤ 2θ ≤ 70°:
2θ 21.9, 4.064 Å, intensity 29; 2θ 24.9, 3.577 Å, intensity 100; 2θ 25.7, 3.468 Å, intensity 41; 2θ 28.1, 3.172 Å, intensity 84; 2θ 28.4, 3.143 Å, intensity 60; 2θ 29.2, 3.062 Å, intensity 38; 2θ 38.1, 2.361 Å, intensity 52; 2θ 40.4, 2.230 Å, intensity 51; 2θ 45.4, 1.999 Å, intensity 37; 2θ 51.1, 1.788 Å, intensity 30

Crystal structure
```
data_AgSF
_chemical_formula_sum 'Ag2 S2 F2'
_symmetry_space_group_name_H-M 'P 1'
_symmetry_Int_Tables_number 1
_cell_length_a 4.3215
_cell_length_b 4.4982
_cell_length_c 6.1771
_cell_angle_alpha 94.24
_cell_angle_beta 93.84
_cell_angle_gamma 114.59
loop_
_symmetry_equiv_pos_as_xyz
'x,y,z'
loop_
_atom_site_label
_atom_site_fract_x
_atom_site_fract_y
_atom_site_fract_z
Ag1 0.1646 0.3497 0.2700
Ag2 0.8354 0.6503 0.7300
S1 0.2779 0.8962 0.0578
S2 0.7221 0.1038 0.9422
F1 0.2263 0.3881 0.6431
F2 0.7737 0.6119 0.3569
```

5.
Theoretical X-ray powder pattern
Compound: Ag7TeS2F2
Radiation: Cu Kα, 1.54184 Å
Structure: a crystal structure in Alexandria, relaxed with PBE

Largest 10 diffraction maxima, sorted by position, 5° ≤ 2θ ≤ 70°:
2θ 7.9, 11.255 Å, intensity 32; 2θ 23.4, 3.796 Å, intensity 29; 2θ 31.0, 2.883 Å, intensity 100; 2θ 32.8, 2.734 Å, intensity 25; 2θ 34.5, 2.596 Å, intensity 25; 2θ 35.9, 2.502 Å, intensity 19; 2θ 40.5, 2.225 Å, intensity 28; 2θ 41.0, 2.201 Å, intensity 35; 2θ 41.5, 2.175 Å, intensity 22; 2θ 42.2, 2.143 Å, intensity 19

Crystal structure
```
data_Ag7TeS2F2
_chemical_formula_sum 'Ag7 Te1 S2 F2'
_symmetry_space_group_name_H-M 'P 1'
_symmetry_Int_Tables_number 1
_cell_length_a 11.7584
_cell_length_b 11.7584
_cell_length_c 11.7584
_cell_angle_alpha 158.43
_cell_angle_beta 33.65
_cell_angle_gamma 154.49
loop_
_symmetry_equiv_pos_as_xyz
'x,y,z'
loop_
_atom_site_label
_atom_site_fract_x
_atom_site_fract_y
_atom_site_fract_z
Ag1 0.0000 0.0000 0.0000
Ag2 0.1707 0.7489 0.4218
Ag3 0.3271 0.7489 0.5782
Ag4 0.3310 0.1012 0.2298
Ag5 0.4873 0.6028 0.8846
Ag6 0.7182 0.6028 0.1154
Ag7 0.8714 0.1012 0.7702
Te1 0.6551 0.1551 0.5000
S1 0.2142 0.0955 0.1187
S2 0.9767 0.0955 0.8813
F1 0.3751 0.6003 0.7748
F2 0.8254 0.6003 0.2252
```

6.
Theoretical X-ray powder pattern
Compound: Ag3SbF8
Radiation: Cu Kα, 1.54184 Å
Structure: a crystal structure in Alexandria, relaxed with PBE

Largest 10 diffraction maxima, sorted by position, 5° ≤ 2θ ≤ 70°:
2θ 17.0, 5.230 Å, intensity 100; 2θ 20.4, 4.355 Å, intensity 85; 2θ 28.3, 3.155 Å, intensity 41; 2θ 28.4, 3.142 Å, intensity 56; 2θ 31.5, 2.838 Å, intensity 26; 2θ 33.9, 2.645 Å, intensity 35; 2θ 34.3, 2.615 Å, intensity 24; 2θ 37.7, 2.389 Å, intensity 54; 2θ 38.4, 2.345 Å, intensity 17; 2θ 51.5, 1.773 Å, intensity 32

Crystal structure
```
data_Ag3SbF8
_chemical_formula_sum 'Ag3 Sb1 F8'
_symmetry_space_group_name_H-M 'P 1'
_symmetry_Int_Tables_number 1
_cell_length_a 6.0862
_cell_length_b 6.0862
_cell_length_c 7.8621
_cell_angle_alpha 90.00
_cell_angle_beta 90.00
_cell_angle_gamma 120.76
loop_
_symmetry_equiv_pos_as_xyz
'x,y,z'
loop_
_atom_site_label
_atom_site_fract_x
_atom_site_fract_y
_atom_site_fract_z
Ag1 0.0000 0.0000 0.0000
Ag2 0.0000 0.5000 0.7865
Ag3 0.5000 0.0000 0.2135
Sb1 0.0000 0.0000 0.5000
F1 0.1830 0.8170 0.5000
F2 0.2018 0.7982 0.0000
F3 0.2197 0.2325 0.6731
F4 0.2325 0.2197 0.3269
F5 0.7675 0.7803 0.3269
F6 0.7803 0.7675 0.6731
F7 0.7982 0.2018 0.0000
F8 0.8170 0.1830 0.5000
```

7.
Theoretical X-ray powder pattern
Compound: AgSb2F
Radiation: Cu Kα, 1.54184 Å
Structure: a crystal structure in Alexandria, relaxed with PBE

Largest 10 diffraction maxima, sorted by position, 5° ≤ 2θ ≤ 70°:
2θ 20.1, 4.411 Å, intensity 10; 2θ 24.6, 3.615 Å, intensity 23; 2θ 29.4, 3.042 Å, intensity 100; 2θ 32.0, 2.796 Å, intensity 12; 2θ 40.9, 2.205 Å, intensity 20; 2θ 41.5, 2.178 Å, intensity 39; 2θ 44.5, 2.034 Å, intensity 68; 2θ 56.8, 1.621 Å, intensity 11; 2θ 59.7, 1.550 Å, intensity 13; 2θ 65.2, 1.430 Å, intensity 14

Crystal structure
```
data_AgSb2F
_chemical_formula_sum 'Ag2 Sb4 F2'
_symmetry_space_group_name_H-M 'P 1'
_symmetry_Int_Tables_number 1
_cell_length_a 9.3980
_cell_length_b 9.3980
_cell_length_c 9.3980
_cell_angle_alpha 151.77
_cell_angle_beta 151.77
_cell_angle_gamma 40.35
loop_
_symmetry_equiv_pos_as_xyz
'x,y,z'
loop_
_atom_site_label
_atom_site_fract_x
_atom_site_fract_y
_atom_site_fract_z
Ag1 0.0000 0.0000 0.0000
Ag2 0.7500 0.2500 0.5000
Sb1 0.1736 0.6250 0.0486
Sb2 0.3750 0.4236 0.5486
Sb3 0.5764 0.1250 0.9514
Sb4 0.8750 0.8264 0.4514
F1 0.2500 0.7500 0.5000
F2 0.5000 0.5000 0.0000
```